Pm3InSi2Pt9: calculated PXRD pattern (Cu Kα, 1.54184 Å), based on a DFT-relaxed cell (GGA-PBE, Alexandria).

abc: 5.7319 5.7319 11.0955
angles: 90.00 90.00 120.00
Atoms (fractional coordinates):
Pm 0.0000 0.0000 0.0000
Pm 0.3333 0.6667 0.6024
Pm 0.6667 0.3333 0.3976
In 0.0000 0.0000 0.5000
Si 0.3333 0.6667 0.1571
Si 0.6667 0.3333 0.8429
Pt 0.0000 0.5000 0.0000
Pt 0.1639 0.3278 0.3054
Pt 0.1639 0.8361 0.3054
Pt 0.3278 0.1639 0.6946
Pt 0.5000 0.0000 0.0000
Pt 0.5000 0.5000 0.0000
Pt 0.6722 0.8361 0.3054
Pt 0.8361 0.1639 0.6946
Pt 0.8361 0.6722 0.6946

Principal peaks in the range 2θ from 10° to 90°, in order of rising 2θ:
d_spacing, 2θ/deg, Rel. int.
3.699, 24.06, 66
2.422, 37.12, 99
2.266, 39.79, 100
1.850, 49.27, 40
1.654, 55.55, 16
1.433, 65.09, 29
1.336, 70.48, 22
1.233, 77.38, 14
1.211, 79.09, 27
1.133, 85.78, 15

=====

LiPm2NdTl4: calculated PXRD pattern (Cu Kα, 1.54184 Å), based on a DFT-relaxed cell (GGA-PBE, Alexandria).

abc: 9.5796 9.5796 9.5796
angles: 32.35 32.35 32.35
Atoms (fractional coordinates):
Li 0.0000 0.0000 0.0000
Pm 0.2561 0.2561 0.2561
Pm 0.7439 0.7439 0.7439
Nd 0.5000 0.5000 0.5000
Tl 0.1231 0.1231 0.1231
Tl 0.3731 0.3731 0.3731
Tl 0.6269 0.6269 0.6269
Tl 0.8769 0.8769 0.8769

Principal peaks in the range 2θ from 10° to 90°, in order of rising 2θ:
d_spacing, 2θ/deg, Rel. int.
3.823, 23.27, 19
2.740, 32.69, 100
2.668, 33.58, 96
1.912, 47.57, 36
1.596, 57.76, 18
1.554, 59.49, 37
1.541, 60.05, 18
1.334, 70.59, 11
1.219, 78.49, 16
1.200, 79.99, 16

=====

Sn2Pd6Se: calculated PXRD pattern (Cu Kα, 1.54184 Å), based on a DFT-relaxed cell (GGA-PBE, Alexandria).

abc: 7.4088 7.4088 3.2334
angles: 90.00 90.00 120.00
Atoms (fractional coordinates):
Sn 0.3333 0.6667 0.0000
Sn 0.6667 0.3333 0.0000
Pd 0.0000 0.2831 0.0000
Pd 0.0000 0.6239 0.5000
Pd 0.2831 0.0000 0.0000
Pd 0.3761 0.3761 0.5000
Pd 0.6239 0.0000 0.5000
Pd 0.7169 0.7169 0.0000
Se 0.0000 0.0000 0.5000

Principal peaks in the range 2θ from 10° to 90°, in order of rising 2θ:
d_spacing, 2θ/deg, Rel. int.
2.436, 36.90, 100
2.425, 37.07, 26
2.277, 39.57, 45
2.139, 42.26, 77
1.940, 46.83, 24
1.617, 56.96, 15
1.607, 57.33, 15
1.340, 70.26, 26
1.290, 73.42, 30
1.285, 73.74, 12

=====

LiCuCl3: calculated PXRD pattern (Cu Kα, 1.54184 Å), based on a DFT-relaxed cell (GGA-PBE, Alexandria).

abc: 9.4719 9.4719 6.0496
angles: 90.00 90.00 155.57
Atoms (fractional coordinates):
Li 0.1621 0.8379 0.5000
Li 0.8379 0.1621 0.0000
Cu 0.3603 0.6397 0.4842
Cu 0.6397 0.3603 0.9842
Cl 0.0910 0.9090 0.8658
Cl 0.2693 0.7307 0.2381
Cl 0.4010 0.5990 0.8285
Cl 0.5990 0.4010 0.3285
Cl 0.7307 0.2693 0.7381
Cl 0.9090 0.0910 0.3658

Principal peaks in the range 2θ from 10° to 90°, in order of rising 2θ:
d_spacing, 2θ/deg, Rel. int.
5.064, 17.51, 100
4.629, 19.17, 69
3.361, 26.52, 43
2.938, 30.42, 85
2.532, 35.45, 37
2.481, 36.21, 44
2.160, 41.81, 25
2.004, 45.25, 28
1.793, 50.93, 25
1.752, 52.22, 31

=====

Pr2DyTl2Ag2: calculated PXRD pattern (Cu Kα, 1.54184 Å), based on a DFT-relaxed cell (GGA-PBE, Alexandria).

abc: 9.6854 9.6854 9.6854
angles: 29.39 29.39 29.39
Atoms (fractional coordinates):
Pr 0.1243 0.1243 0.1243
Pr 0.8757 0.8757 0.8757
Dy 0.0000 0.0000 0.0000
Tl 0.2639 0.2639 0.2639
Tl 0.7361 0.7361 0.7361
Ag 0.3882 0.3882 0.3882
Ag 0.6118 0.6118 0.6118

Principal peaks in the range 2θ from 10° to 90°, in order of rising 2θ:
d_spacing, 2θ/deg, Rel. int.
4.630, 19.17, 13
2.903, 30.80, 40
2.691, 33.30, 97
2.457, 36.57, 100
2.171, 41.60, 16
1.814, 50.28, 30
1.479, 62.83, 25
1.460, 63.76, 30
1.419, 65.83, 18
1.118, 87.22, 13

=====

What did the third record say?
Sn2Pd6Se: calculated PXRD pattern (Cu Kα, 1.54184 Å), based on a DFT-relaxed cell (GGA-PBE, Alexandria).

abc: 7.4088 7.4088 3.2334
angles: 90.00 90.00 120.00
Atoms (fractional coordinates):
Sn 0.3333 0.6667 0.0000
Sn 0.6667 0.3333 0.0000
Pd 0.0000 0.2831 0.0000
Pd 0.0000 0.6239 0.5000
Pd 0.2831 0.0000 0.0000
Pd 0.3761 0.3761 0.5000
Pd 0.6239 0.0000 0.5000
Pd 0.7169 0.7169 0.0000
Se 0.0000 0.0000 0.5000

Principal peaks in the range 2θ from 10° to 90°, in order of rising 2θ:
d_spacing, 2θ/deg, Rel. int.
2.436, 36.90, 100
2.425, 37.07, 26
2.277, 39.57, 45
2.139, 42.26, 77
1.940, 46.83, 24
1.617, 56.96, 15
1.607, 57.33, 15
1.340, 70.26, 26
1.290, 73.42, 30
1.285, 73.74, 12

=====

Repeat the first record exactly.
Pm3InSi2Pt9: calculated PXRD pattern (Cu Kα, 1.54184 Å), based on a DFT-relaxed cell (GGA-PBE, Alexandria).

abc: 5.7319 5.7319 11.0955
angles: 90.00 90.00 120.00
Atoms (fractional coordinates):
Pm 0.0000 0.0000 0.0000
Pm 0.3333 0.6667 0.6024
Pm 0.6667 0.3333 0.3976
In 0.0000 0.0000 0.5000
Si 0.3333 0.6667 0.1571
Si 0.6667 0.3333 0.8429
Pt 0.0000 0.5000 0.0000
Pt 0.1639 0.3278 0.3054
Pt 0.1639 0.8361 0.3054
Pt 0.3278 0.1639 0.6946
Pt 0.5000 0.0000 0.0000
Pt 0.5000 0.5000 0.0000
Pt 0.6722 0.8361 0.3054
Pt 0.8361 0.1639 0.6946
Pt 0.8361 0.6722 0.6946

Principal peaks in the range 2θ from 10° to 90°, in order of rising 2θ:
d_spacing, 2θ/deg, Rel. int.
3.699, 24.06, 66
2.422, 37.12, 99
2.266, 39.79, 100
1.850, 49.27, 40
1.654, 55.55, 16
1.433, 65.09, 29
1.336, 70.48, 22
1.233, 77.38, 14
1.211, 79.09, 27
1.133, 85.78, 15